No. 1
Diffraction record for Y2S2F. The powder XRD pattern is computed, not measured: it uses a DFT-relaxed cell (PBE, the Materials Project) and CuKα.

Crystal structure
a = 3.780 Å, b = 3.780 Å, c = 11.172 Å
α = 90.00°, β = 90.00°, γ = 90.00°
Sites, in units of the cell vectors:
Y  0.000  0.000  0.194
Y  0.000  0.000  0.806
S  0.000  0.000  0.412
S  0.000  0.000  0.588
F  0.000  0.000  0.000

Main lines, sorted by position (2θ = 15–90°):
Position (°2θ)	I/Imax
15.9	13
23.5	100
28.5	13
33.5	38
33.8	18
47.3	26
48.1	13
53.5	18
54.3	18
69.8	15

=====

No. 2
Diffraction record for SbF4. The powder XRD pattern is computed, not measured: it uses a DFT-relaxed cell (PBE, the Materials Project) and CuKα.

Crystal structure
a = 5.112 Å, b = 5.255 Å, c = 6.194 Å
α = 113.05°, β = 110.85°, γ = 90.56°
Sites, in units of the cell vectors:
Sb  0.000  0.000  0.000
Sb  0.488  0.507  0.995
F  0.080  0.602  0.791
F  0.199  0.049  0.787
F  0.281  0.398  0.208
F  0.382  0.942  0.213
F  0.620  0.740  0.780
F  0.754  0.196  0.800
F  0.840  0.253  0.232
F  0.921  0.786  0.197

Main lines, sorted by position (2θ = 15–90°):
Position (°2θ)	I/Imax
16.9	100
24.2	26
24.5	25
28.9	19
29.3	18
29.9	18
30.9	16
40.3	8
41.0	9
48.2	17

=====

No. 3
Diffraction record for SbF6. The powder XRD pattern is computed, not measured: it uses a DFT-relaxed cell (PBE, the Materials Project) and CuKα.

Crystal structure
a = 7.643 Å, b = 10.387 Å, c = 12.736 Å
α = 90.00°, β = 90.00°, γ = 90.00°
Sites, in units of the cell vectors:
Sb  0.082  0.084  0.087
Sb  0.114  0.720  0.786
Sb  0.386  0.280  0.286
Sb  0.418  0.916  0.587
Sb  0.582  0.416  0.913
Sb  0.614  0.780  0.214
Sb  0.886  0.220  0.714
Sb  0.918  0.584  0.413
F  0.030  0.597  0.896
F  0.049  0.644  0.296
F  0.052  0.347  0.676
F  0.055  0.144  0.803
F  0.059  0.250  0.025
F  0.086  0.597  0.045
F  0.110  0.510  0.485
F  0.141  0.929  0.158
F  0.197  0.838  0.669
F  0.218  0.400  0.239
F  0.222  0.204  0.379
F  0.249  0.955  0.481
F  0.251  0.045  0.981
F  0.278  0.796  0.879
F  0.282  0.600  0.739
F  0.303  0.162  0.169
F  0.359  0.071  0.658
F  0.390  0.490  0.985
F  0.414  0.403  0.545
F  0.441  0.750  0.525
F  0.445  0.856  0.303
F  0.448  0.653  0.176
F  0.451  0.356  0.796
F  0.470  0.403  0.396
F  0.530  0.903  0.104
F  0.549  0.856  0.704
F  0.552  0.153  0.324
F  0.555  0.356  0.197
F  0.559  0.250  0.975
F  0.586  0.903  0.955
F  0.610  0.990  0.515
F  0.641  0.571  0.842
F  0.697  0.662  0.331
F  0.718  0.100  0.761
F  0.722  0.296  0.621
F  0.749  0.545  0.519
F  0.751  0.455  0.019
F  0.778  0.704  0.121
F  0.782  0.900  0.261
F  0.803  0.338  0.831
F  0.859  0.429  0.342
F  0.890  0.010  0.015
F  0.914  0.097  0.455
F  0.941  0.750  0.475
F  0.945  0.644  0.697
F  0.948  0.847  0.824
F  0.951  0.144  0.204
F  0.970  0.097  0.604

Main lines, sorted by position (2θ = 15–90°):
Position (°2θ)	I/Imax
16.0	100
16.3	36
20.1	36
20.7	40
21.8	50
22.1	32
24.0	36
27.1	18
28.6	26
40.8	18

=====

No. 4
Diffraction record for SbF3. The powder XRD pattern is computed, not measured: it uses a DFT-relaxed cell (PBE, the Materials Project) and CuKα.

Crystal structure
a = 7.116 Å, b = 4.620 Å, c = 4.620 Å
α = 112.63°, β = 90.00°, γ = 90.00°
Sites, in units of the cell vectors:
Sb  0.250  0.218  0.782
Sb  0.750  0.782  0.218
F  0.062  0.563  0.956
F  0.250  0.297  0.391
F  0.438  0.563  0.956
F  0.562  0.956  0.563
F  0.750  0.391  0.297
F  0.938  0.956  0.563

Main lines, sorted by position (2θ = 15–90°):
Position (°2θ)	I/Imax
23.1	31
24.3	100
25.0	20
34.3	7
39.3	7
41.4	14
43.5	14
43.7	23
49.9	18
56.7	9

=====

No. 5
Diffraction record for Sb2F7. The powder XRD pattern is computed, not measured: it uses a DFT-relaxed cell (PBE, the Materials Project) and CuKα.

Crystal structure
a = 4.916 Å, b = 11.065 Å, c = 11.041 Å
α = 90.00°, β = 95.47°, γ = 90.00°
Sites, in units of the cell vectors:
Sb  0.067  0.250  0.476
Sb  0.296  0.561  0.232
Sb  0.296  0.939  0.232
Sb  0.394  0.750  0.923
Sb  0.606  0.250  0.077
Sb  0.704  0.061  0.768
Sb  0.704  0.439  0.768
Sb  0.933  0.750  0.524
F  0.089  0.019  0.786
F  0.089  0.481  0.786
F  0.144  0.627  0.451
F  0.144  0.873  0.451
F  0.181  0.750  0.223
F  0.186  0.750  0.667
F  0.270  0.590  0.051
F  0.270  0.910  0.051
F  0.276  0.125  0.407
F  0.276  0.375  0.407
F  0.318  0.250  0.945
F  0.320  0.250  0.620
F  0.365  0.125  0.156
F  0.365  0.375  0.156
F  0.635  0.625  0.844
F  0.635  0.875  0.844
F  0.680  0.750  0.380
F  0.682  0.750  0.055
F  0.724  0.625  0.593
F  0.724  0.875  0.593
F  0.730  0.090  0.949
F  0.730  0.410  0.949
F  0.814  0.250  0.333
F  0.819  0.250  0.777
F  0.856  0.127  0.549
F  0.856  0.373  0.549
F  0.911  0.519  0.214
F  0.911  0.981  0.214

Main lines, sorted by position (2θ = 15–90°):
Position (°2θ)	I/Imax
20.6	100
22.1	16
22.8	92
24.5	28
25.1	85
25.5	40
25.6	30
29.0	17
43.7	23
49.4	18